Entry 1:
The following is a computed X-ray powder pattern of LiCoC2O6. It was derived from a structure optimized by DFT (PBE+U), using λ = 1.5418 Å (Cu Kα).
Lines closer than 0.1° are merged.

Atomic structure:
a b c (Å): 4.624 4.638 5.740
angles (deg): 66.21 66.81 60.92
Space group P-1 (No. 2)
Inequivalent atoms, fractional coordinates:
1 Li 0.000 0.000 0.000 (multiplicity 1)
2 Co 0.500 0.500 0.500 (multiplicity 1)
3 C 0.245 0.240 0.268 (multiplicity 2)
4 O 0.038 0.743 0.736 (multiplicity 2)
5 O 0.266 0.511 0.269 (multiplicity 2)
6 O 0.484 0.040 0.736 (multiplicity 2)

Largest 10 diffraction maxima, by angle, 2θ = 10–80°:
| h k l | 2θ/deg | d_spacing | I/Imax |
| --- | --- | --- | --- |
| 0 0 1 | 17.43 | 5.089 | 100 |
| 1 0 0 | 22.73 | 3.913 | 75 |
| 1 1 1 | 23.04 | 3.861 | 37 |
| 1 0 -1 | 32.10 | 2.788 | 54 |
| 0 1 -1 | 32.35 | 2.768 | 54 |
| 1 1 2 | 32.48 | 2.757 | 50 |
| -1 1 1 | 42.23 | 2.140 | 32 |
| 1 2 0 | 42.93 | 2.107 | 31 |
| 2 1 2 | 43.08 | 2.100 | 30 |
| 1 0 3 | 53.32 | 1.718 | 20 |

---

Entry 2:
The following is a computed X-ray powder pattern of Li2CoC2O6. It was derived from a structure optimized by DFT (PBE+U), using λ = 1.5418 Å (Cu Kα).
Lines closer than 0.1° are merged.

Atomic structure:
a b c (Å): 7.577 9.686 7.935
angles (deg): 90.00 110.25 90.00
Space group P2_1 (No. 4)
Inequivalent atoms, fractional coordinates:
1 Li 0.025 0.000 0.298 (multiplicity 2)
2 Li 0.078 0.810 0.898 (multiplicity 2)
3 Li 0.283 0.506 0.593 (multiplicity 2)
4 Li 0.435 0.764 0.765 (multiplicity 2)
5 Co 0.191 0.020 0.685 (multiplicity 2)
6 Co 0.325 0.262 0.816 (multiplicity 2)
7 C 0.037 0.754 0.524 (multiplicity 2)
8 C 0.076 0.122 0.978 (multiplicity 2)
9 C 0.419 0.136 0.505 (multiplicity 2)
10 C 0.454 0.526 0.993 (multiplicity 2)
11 O 0.004 0.616 0.905 (multiplicity 2)
12 O 0.040 0.621 0.500 (multiplicity 2)
13 O 0.079 0.335 0.592 (multiplicity 2)
14 O 0.099 0.011 0.894 (multiplicity 2)
15 O 0.132 0.241 0.940 (multiplicity 2)
16 O 0.155 0.806 0.671 (multiplicity 2)
17 O 0.300 0.035 0.490 (multiplicity 2)
18 O 0.343 0.467 0.849 (multiplicity 2)
19 O 0.432 0.236 0.618 (multiplicity 2)
20 O 0.458 0.955 0.864 (multiplicity 2)
21 O 0.477 0.659 0.988 (multiplicity 2)
22 O 0.478 0.636 0.594 (multiplicity 2)

Largest 10 diffraction maxima, by angle, 2θ = 10–80°:
| h k l | 2θ/deg | d_spacing | I/Imax |
| --- | --- | --- | --- |
| 1 0 -1 | 13.93 | 6.356 | 100 |
| 0 1 1 | 15.01 | 5.902 | 22 |
| 1 1 0 | 15.46 | 5.731 | 48 |
| 1 0 1 | 20.04 | 4.432 | 26 |
| 1 1 1 | 22.06 | 4.030 | 12 |
| 2 1 0 | 26.72 | 3.337 | 9 |
| 2 0 -2 | 28.08 | 3.178 | 19 |
| 2 2 1 | 36.61 | 2.454 | 11 |
| 1 4 -1 | 39.84 | 2.263 | 10 |
| 3 0 -3 | 42.68 | 2.119 | 13 |

---

Entry 3:
The following is a computed X-ray powder pattern of LiCoC2O6. It was derived from a structure optimized by DFT (PBE+U), using λ = 1.5418 Å (Cu Kα).
Lines closer than 0.1° are merged.

Atomic structure:
a b c (Å): 5.814 7.637 11.573
angles (deg): 89.88 89.90 84.59
Space group P1 (No. 1)
Inequivalent atoms, fractional coordinates:
1 Li 0.000 0.000 0.000 (multiplicity 1)
2 Li 0.001 0.497 0.843 (multiplicity 1)
3 Li 0.494 0.002 0.502 (multiplicity 1)
4 Li 0.502 0.497 0.347 (multiplicity 1)
5 Co 0.477 0.824 0.773 (multiplicity 1)
6 Co 0.479 0.323 0.072 (multiplicity 1)
7 Co 0.983 0.825 0.276 (multiplicity 1)
8 Co 0.992 0.328 0.567 (multiplicity 1)
9 C 0.135 0.116 0.763 (multiplicity 1)
10 C 0.137 0.614 0.080 (multiplicity 1)
11 C 0.483 0.030 0.993 (multiplicity 1)
12 C 0.486 0.529 0.853 (multiplicity 1)
13 C 0.636 0.112 0.268 (multiplicity 1)
14 C 0.644 0.606 0.581 (multiplicity 1)
15 C 0.980 0.033 0.493 (multiplicity 1)
16 C 0.982 0.530 0.355 (multiplicity 1)
17 O 0.011 0.039 0.831 (multiplicity 1)
18 O 0.011 0.532 0.016 (multiplicity 1)
19 O 0.059 0.774 0.120 (multiplicity 1)
20 O 0.062 0.278 0.723 (multiplicity 1)
21 O 0.165 0.113 0.516 (multiplicity 1)
22 O 0.175 0.596 0.335 (multiplicity 1)
23 O 0.296 0.116 0.035 (multiplicity 1)
24 O 0.299 0.615 0.811 (multiplicity 1)
25 O 0.342 0.052 0.730 (multiplicity 1)
26 O 0.347 0.556 0.111 (multiplicity 1)
27 O 0.473 0.888 0.935 (multiplicity 1)
28 O 0.477 0.386 0.910 (multiplicity 1)
29 O 0.508 0.029 0.330 (multiplicity 1)
30 O 0.518 0.521 0.519 (multiplicity 1)
31 O 0.558 0.273 0.228 (multiplicity 1)
32 O 0.570 0.767 0.619 (multiplicity 1)
33 O 0.674 0.097 0.015 (multiplicity 1)
34 O 0.675 0.599 0.833 (multiplicity 1)
35 O 0.789 0.111 0.531 (multiplicity 1)
36 O 0.797 0.619 0.313 (multiplicity 1)
37 O 0.847 0.057 0.238 (multiplicity 1)
38 O 0.855 0.550 0.612 (multiplicity 1)
39 O 0.968 0.384 0.408 (multiplicity 1)
40 O 0.999 0.887 0.438 (multiplicity 1)

Largest 10 diffraction maxima, by angle, 2θ = 10–80°:
| h k l | 2θ/deg | d_spacing | I/Imax |
| --- | --- | --- | --- |
| 1 0 -1 | 17.13 | 5.177 | 57 |
| 0 1 -2 | 19.28 | 4.604 | 38 |
| 1 1 1 | 19.92 | 4.457 | 100 |
| 1 -1 1 | 21.57 | 4.120 | 25 |
| 1 0 3 | 27.79 | 3.210 | 12 |
| 2 0 0 | 30.90 | 2.894 | 31 |
| 0 1 -4 | 33.13 | 2.704 | 11 |
| 2 2 0 | 37.23 | 2.415 | 14 |
| -2 1 2 | 37.63 | 2.390 | 14 |
| 2 -2 0 | 40.94 | 2.204 | 13 |

---

> What is the formula in the third record?

LiCoC2O6